Starting from a cell relaxed with GGA-PBE, the powder diffractogram of Sm2Ho2CI2Cl3 was calculated for Cu Ka.

Crystal structure
```
10
Lattice="8.960 -1.939 0.000 8.960 1.939 0.000 -1.434 0.000 7.996" Properties=species:S:1:pos:R:3 pbc="T T T"
Sm -0.316 0.000 2.329
Sm 16.802 0.000 5.667
Ho 5.914 0.000 3.491
Ho 10.572 0.000 4.504
C 8.243 0.000 3.998
I 1.807 0.000 6.807
I 14.679 0.000 1.188
Cl 2.566 0.000 2.821
Cl 8.960 0.000 0.000
Cl 13.920 0.000 5.175
```

Principal peaks in the range 10 to 90 degrees two-theta, by intensity:
2θ = 31.93°, d = 2.803 Å, rel. 100; 2θ = 11.07°, d = 7.996 Å, rel. 40; 2θ = 30.41°, d = 2.940 Å, rel. 39; 2θ = 30.79°, d = 2.904 Å, rel. 38; 2θ = 13.57°, d = 6.524 Å, rel. 36; 2θ = 34.36°, d = 2.610 Å, rel. 33; 2θ = 45.49°, d = 1.994 Å, rel. 25; 2θ = 21.22°, d = 4.186 Å, rel. 23; 2θ = 43.84°, d = 2.065 Å, rel. 21; 2θ = 36.91°, d = 2.435 Å, rel. 18